Diffraction record for Li6SiPb2. The powder diffractogram is calculated, not measured: it uses a crystal structure in Alexandria, relaxed with PBE and Cu Kα X-rays.

Cell and atoms:
Cell: 8.010 8.010 3.069 Å, 90.00 90.00 120.00°
Positions (direct):
1 Li 0.000 0.275 0.000
2 Li 0.000 0.653 0.500
3 Li 0.275 0.000 0.000
4 Li 0.347 0.347 0.500
5 Li 0.653 0.000 0.500
6 Li 0.725 0.725 0.000
7 Si 0.000 0.000 0.500
8 Pb 0.333 0.667 0.000
9 Pb 0.667 0.333 0.000

Most intense lines, 2θ = 10–90°, sorted by position:
Position (°2θ), d_spacing, intensity
12.76, 6.937, 53.7
22.20, 4.005, 100.0
31.89, 2.807, 24.1
36.90, 2.436, 45.8
38.95, 2.312, 28.8
49.35, 1.847, 19.7